Calculated powder diffraction line list
Compound: Co2O3F
Radiation: CuKα
Structure: a GGA+U-relaxed structure
Peak positions follow from Bragg's law for the DFT cell and can differ from measured ones.

Cell and atoms:
Unit cell a=11.802 b=4.385 c=4.385 alpha=87.19 beta=90.00 gamma=90.00
Atoms (fractional coordinates):
Co  0.000  0.000  0.000
Co  0.125  0.466  0.466
Co  0.250  0.001  0.001
Co  0.375  0.477  0.477
Co  0.500  0.950  0.950
Co  0.625  0.477  0.477
Co  0.750  0.001  0.001
Co  0.875  0.466  0.466
O  0.000  0.282  0.282
O  0.125  0.183  0.792
O  0.125  0.792  0.183
O  0.250  0.284  0.284
O  0.375  0.167  0.780
O  0.375  0.780  0.167
O  0.500  0.669  0.669
O  0.625  0.167  0.780
O  0.625  0.780  0.167
O  0.750  0.284  0.284
O  0.875  0.183  0.792
O  0.875  0.792  0.183
F  0.000  0.679  0.679
F  0.246  0.691  0.691
F  0.500  0.256  0.256
F  0.754  0.691  0.691

Most intense lines, 2θ = 15–90°, sorted by position:
2theta	d/Å	Rel. int.
28.1	3.176	78
29.5	3.024	80
36.7	2.447	100
41.2	2.190	16
41.8	2.162	14
55.5	1.655	46
57.2	1.610	47
58.1	1.588	13
63.0	1.475	15
72.2	1.309	30